# BaCaEuFeO6
Calculated X-ray powder pattern, copper Kα. Input: a structure optimized by DFT (GGA+U).
No peak broadening, texture or thermal motion is included.

Crystal structure
```
data_BaCaEuFeO6
_chemical_formula_sum 'Ba4 Ca4 Eu4 Fe4 O24'
_cell_length_a 8.1938
_cell_length_b 8.1938
_cell_length_c 8.1938
_cell_angle_alpha 90.00
_cell_angle_beta 90.00
_cell_angle_gamma 90.00
_symmetry_space_group_name_H-M 'F -4 3 m'
_symmetry_Int_Tables_number 216
_symmetry_space_group_name_Hall 'F -4 2 3'
loop_
_atom_site_label
_atom_site_type_symbol
_atom_site_fract_x
_atom_site_fract_y
_atom_site_fract_z
_atom_site_occupancy
Ba1 Ba 0.0000 0.0000 0.0000 1
Ca1 Ca 0.2500 0.2500 0.2500 1
Eu1 Eu 0.0000 0.0000 0.5000 1
Fe1 Fe 0.2500 0.2500 0.7500 1
O1 O 0.0215 0.2500 0.7500 1
```

Top 10 peaks for 2θ = 15–90°, low angle first:
- (2 0 0), 2θ = 21.7°, I 19.0
- (2 2 0), 2θ = 30.9°, I 100.0
- (2 2 2), 2θ = 38.0°, I 23.2
- (4 0 0), 2θ = 44.2°, I 32.7
- (4 2 0), 2θ = 49.8°, I 10.7
- (4 2 2), 2θ = 54.9°, I 38.1
- (4 4 0), 2θ = 64.3°, I 19.3
- (6 2 0), 2θ = 73.0°, I 17.4
- (6 2 2), 2θ = 77.2°, I 7.4
- (6 4 2), 2θ = 89.5°, I 21.0